Structure and calculated XRD peak list of LaNi2P2 (the GGA-PBE geometry in the Materials Project; copper Kα).
Lines closer than 0.1° are merged.

Cell and atoms:
Lattice parameters (Å, degrees): 5.586 5.586 5.586 138.02 138.02 60.87
Positions (direct):
1 La 0.000 0.000 0.000
2 Ni 0.250 0.750 0.500
3 Ni 0.750 0.250 0.500
4 P 0.370 0.370 0.000
5 P 0.630 0.630 0.000

The 6 most intense peaks (10 to 90 degrees two-theta), in order of falling intensity:
2theta	d [Å]	intensity
36.84	2.440	100.0
35.86	2.504	52.4
45.33	2.001	42.2
24.08	3.695	37.1
59.10	1.563	23.9
78.09	1.224	20.7

=====

Structure and calculated XRD peak list of LaNi2Rh3 (the GGA-PBE geometry in the Materials Project; copper Kα).
Lines closer than 0.1° are merged.

Cell and atoms:
Lattice parameters (Å, degrees): 5.310 5.310 4.060 90.00 90.00 120.00
Positions (direct):
1 La 0.000 0.000 0.000
2 Ni 0.333 0.667 0.000
3 Ni 0.667 0.333 0.000
4 Rh 0.000 0.500 0.500
5 Rh 0.500 0.000 0.500
6 Rh 0.500 0.500 0.500

The 6 most intense peaks (10 to 90 degrees two-theta), in order of falling intensity:
2theta	d [Å]	intensity
40.60	2.222	100.0
39.18	2.299	60.1
29.35	3.043	54.6
60.88	1.522	32.7
45.33	2.001	31.2
44.64	2.030	31.0